Simulated powder X-ray diffraction pattern
Compound: Sm3Al2Ni6H9
Radiation: copper Kα
Structure: a structure optimized by DFT (GGA-PBE)

Atomic structure:
```
data_Sm3Al2Ni6H9
_cell_length_a 8.077
_cell_length_b 8.077
_cell_length_c 8.077
_cell_angle_alpha 109.47
_cell_angle_beta 109.47
_cell_angle_gamma 109.47
_space_group_name_H-M_alt 'P 1'
_space_group_IT_number 1
loop_
_space_group_symop_operation_xyz
'x,y,z'
loop_
_atom_site_label
_atom_site_fract_x
_atom_site_fract_y
_atom_site_fract_z
Sm1 0.000 0.271 0.271
Sm2 0.000 0.729 0.729
Sm3 0.271 0.000 0.271
Sm4 0.271 0.271 0.000
Sm5 0.729 0.000 0.729
Sm6 0.729 0.729 0.000
Al1 0.000 0.000 0.500
Al2 0.000 0.500 0.000
Al3 0.500 0.000 0.000
Al4 0.500 0.500 0.500
Ni1 0.000 0.338 0.662
Ni2 0.000 0.662 0.338
Ni3 0.324 0.662 0.662
Ni4 0.338 0.000 0.662
Ni5 0.338 0.338 0.676
Ni6 0.338 0.662 0.000
Ni7 0.338 0.676 0.338
Ni8 0.662 0.000 0.338
Ni9 0.662 0.324 0.662
Ni10 0.662 0.338 0.000
Ni11 0.662 0.662 0.324
Ni12 0.676 0.338 0.338
H1 0.000 0.000 0.000
H2 0.000 0.000 0.271
H3 0.000 0.000 0.729
H4 0.000 0.271 0.000
H5 0.000 0.500 0.500
H6 0.000 0.729 0.000
H7 0.250 0.500 0.750
H8 0.250 0.750 0.500
H9 0.271 0.000 0.000
H10 0.271 0.271 0.271
H11 0.500 0.000 0.500
H12 0.500 0.250 0.750
H13 0.500 0.500 0.000
H14 0.500 0.750 0.250
H15 0.729 0.000 0.000
H16 0.729 0.729 0.729
H17 0.750 0.250 0.500
H18 0.750 0.500 0.250
```

Peak list (8 most intense, 2θ = 10–80°, in order of rising 2θ)
27.04 deg, d 3.298, intensity 17.9
30.30 deg, d 2.949, intensity 27.5
33.28 deg, d 2.692, intensity 38.8
36.03 deg, d 2.493, intensity 44.8
38.61 deg, d 2.332, intensity 24.2
41.06 deg, d 2.198, intensity 100.0
61.26 deg, d 1.513, intensity 22.8
66.50 deg, d 1.406, intensity 26.3